RbGaSi: simulated X-ray powder pattern (Cu Kα X-rays), based on a PBE-relaxed structure.
Peak positions follow from Bragg's law for the DFT cell and can differ from measured ones.

Most intense lines, 10° ≤ 2θ ≤ 90°, low angle first:
two_theta, d_spacing, Rel. int.
21.7, 4.103, 29.2
26.9, 3.318, 90.7
28.3, 3.157, 100.0
30.8, 2.901, 29.6
31.7, 2.821, 19.0
35.5, 2.529, 70.1
47.1, 1.928, 41.5
49.7, 1.835, 20.4
53.3, 1.720, 36.0
53.8, 1.703, 51.3

Cell and atoms:
```
6
Lattice="0.0000 5.6430 4.1053 4.1002 0.0000 4.1053 4.1002 5.6430 0.0000" Properties=species:S:1:pos:R:3 pbc="T T T"
Rb 4.1002 2.1817 4.1053
Rb 4.1002 9.1042 4.1053
Ga 5.3524 5.6430 2.8703
Ga 2.8480 5.6430 2.8703
Si 5.2770 5.6430 5.3045
Si 2.9234 5.6430 5.3045
```